# 1
# LiNd4Er4
Simulated X-ray powder pattern, a wavelength of 1.5418 Å. Input: a crystal structure in Alexandria, relaxed with GGA-PBE.
Lines closer than 0.1° are merged.

Structural model:
Cell: 7.663 7.663 7.663 Å, 131.31 117.97 82.58°
Element x y z (fractional)
Li: 0.000 0.000 0.000
Nd: 0.000 0.500 0.500
Nd: 0.320 0.000 0.320
Nd: 0.500 0.500 0.000
Nd: 0.680 0.000 0.680
Er: 0.109 0.482 0.101
Er: 0.381 0.007 0.899
Er: 0.619 0.518 0.626
Er: 0.891 0.993 0.374

Principal peaks in the range 15 to 90 degrees two-theta, in order of falling intensity:
- 2θ = 27.74°, intensity 100
- 2θ = 32.32°, intensity 80
- 2θ = 35.58°, intensity 52
- 2θ = 31.06°, intensity 45
- 2θ = 54.87°, intensity 23
- 2θ = 47.94°, intensity 22
- 2θ = 49.70°, intensity 20
- 2θ = 64.39°, intensity 20
- 2θ = 56.06°, intensity 16
- 2θ = 48.76°, intensity 13

# 2
# Nd2SmIn3
Simulated X-ray powder pattern, a wavelength of 1.5418 Å. Input: a crystal structure in Alexandria, relaxed with GGA-PBE.
Lines closer than 0.1° are merged.

Structural model:
Cell: 8.638 8.638 7.716 Å, 90.00 90.00 143.14°
Element x y z (fractional)
Nd: 0.000 0.000 0.000
Nd: 0.000 0.000 0.500
Nd: 0.334 0.666 0.000
Nd: 0.666 0.334 0.000
Sm: 0.333 0.667 0.500
Sm: 0.667 0.333 0.500
In: 0.168 0.832 0.253
In: 0.168 0.832 0.747
In: 0.500 0.500 0.253
In: 0.500 0.500 0.747
In: 0.832 0.168 0.253
In: 0.832 0.168 0.747

Principal peaks in the range 15 to 90 degrees two-theta, in order of falling intensity:
- 2θ = 32.80°, intensity 100
- 2θ = 58.56°, intensity 37
- 2θ = 47.07°, intensity 18
- 2θ = 68.77°, intensity 11
- 2θ = 78.28°, intensity 11
- 2θ = 78.37°, intensity 5
- 2θ = 87.53°, intensity 4
- 2θ = 23.04°, intensity 1
- 2θ = 53.04°, intensity 1

# 3
# AcEr2F11
Simulated X-ray powder pattern, a wavelength of 1.5418 Å. Input: a crystal structure in Alexandria, relaxed with GGA-PBE.
Lines closer than 0.1° are merged.

Structural model:
Cell: 8.996 8.996 8.996 Å, 124.30 109.62 95.78°
Element x y z (fractional)
Ac: 0.250 0.250 0.000
Ac: 0.750 0.750 0.000
Er: 0.186 0.651 0.838
Er: 0.314 0.151 0.465
Er: 0.686 0.849 0.535
Er: 0.814 0.349 0.162
F: 0.000 0.500 0.500
F: 0.045 0.975 0.290
F: 0.047 0.346 0.143
F: 0.185 0.475 0.930
F: 0.203 0.905 0.857
F: 0.204 0.388 0.591
F: 0.296 0.888 0.184
F: 0.297 0.154 0.702
F: 0.315 0.245 0.290
F: 0.453 0.595 0.298
F: 0.455 0.745 0.930
F: 0.500 0.000 0.500
F: 0.545 0.255 0.070
F: 0.547 0.405 0.702
F: 0.685 0.755 0.710
F: 0.703 0.846 0.298
F: 0.704 0.112 0.816
F: 0.796 0.612 0.409
F: 0.797 0.095 0.143
F: 0.815 0.525 0.070
F: 0.953 0.654 0.857
F: 0.955 0.025 0.710

Principal peaks in the range 15 to 90 degrees two-theta, in order of falling intensity:
- 2θ = 20.04°, intensity 100
- 2θ = 22.62°, intensity 73
- 2θ = 24.01°, intensity 50
- 2θ = 44.23°, intensity 44
- 2θ = 21.44°, intensity 32
- 2θ = 41.15°, intensity 31
- 2θ = 27.91°, intensity 24
- 2θ = 25.84°, intensity 23
- 2θ = 40.73°, intensity 20
- 2θ = 47.62°, intensity 20

# 4
# ZnNi12B6
Simulated X-ray powder pattern, a wavelength of 1.5418 Å. Input: a crystal structure in Alexandria, relaxed with GGA-PBE.
Lines closer than 0.1° are merged.

Structural model:
Cell: 6.009 6.009 6.009 Å, 105.29 105.29 105.29°
Element x y z (fractional)
Zn: 0.000 0.000 0.000
Ni: 0.130 0.500 0.870
Ni: 0.130 0.870 0.500
Ni: 0.180 0.442 0.442
Ni: 0.442 0.180 0.442
Ni: 0.442 0.442 0.180
Ni: 0.500 0.130 0.870
Ni: 0.500 0.870 0.130
Ni: 0.558 0.558 0.820
Ni: 0.558 0.820 0.558
Ni: 0.820 0.558 0.558
Ni: 0.870 0.130 0.500
Ni: 0.870 0.500 0.130
B: 0.245 0.245 0.677
B: 0.245 0.677 0.245
B: 0.323 0.755 0.755
B: 0.677 0.245 0.245
B: 0.755 0.323 0.755
B: 0.755 0.755 0.323

Principal peaks in the range 15 to 90 degrees two-theta, in order of falling intensity:
- 2θ = 41.32°, intensity 100
- 2θ = 42.35°, intensity 51
- 2θ = 50.59°, intensity 48
- 2θ = 33.10°, intensity 26
- 2θ = 32.47°, intensity 24
- 2θ = 61.77°, intensity 22
- 2θ = 78.80°, intensity 20
- 2θ = 57.92°, intensity 18
- 2θ = 47.05°, intensity 17
- 2θ = 51.00°, intensity 15

# 5
# Mn6Co5Ge
Simulated X-ray powder pattern, a wavelength of 1.5418 Å. Input: a crystal structure in Alexandria, relaxed with GGA-PBE.
Lines closer than 0.1° are merged.

Structural model:
Cell: 6.457 6.457 5.785 Å, 90.00 90.00 143.14°
Element x y z (fractional)
Mn: 0.000 0.000 0.243
Mn: 0.000 0.000 0.757
Mn: 0.330 0.670 0.246
Mn: 0.330 0.670 0.754
Mn: 0.670 0.330 0.246
Mn: 0.670 0.330 0.754
Co: 0.166 0.834 0.000
Co: 0.166 0.834 0.500
Co: 0.500 0.500 0.000
Co: 0.834 0.166 0.000
Co: 0.834 0.166 0.500
Ge: 0.500 0.500 0.500

Principal peaks in the range 15 to 90 degrees two-theta, in order of falling intensity:
- 2θ = 44.34°, intensity 100
- 2θ = 81.61°, intensity 19
- 2θ = 64.56°, intensity 10
- 2θ = 81.68°, intensity 10
- 2θ = 64.42°, intensity 5
- 2θ = 30.95°, intensity 1

# 6
# B2PPtRhC
Simulated X-ray powder pattern, a wavelength of 1.5418 Å. Input: a crystal structure in Alexandria, relaxed with GGA-PBE.
Lines closer than 0.1° are merged.

Structural model:
Cell: 2.811 4.165 6.613 Å, 87.11 85.01 71.60°
Element x y z (fractional)
B: 0.000 0.000 0.000
B: 0.219 0.552 0.074
P: 0.100 0.984 0.537
Pt: 0.840 0.547 0.393
Rh: 0.646 0.761 0.801
C: 0.805 0.366 0.067

Principal peaks in the range 15 to 90 degrees two-theta, in order of falling intensity:
- 2θ = 22.50°, intensity 100
- 2θ = 26.59°, intensity 76
- 2θ = 27.08°, intensity 63
- 2θ = 35.05°, intensity 55
- 2θ = 34.25°, intensity 55
- 2θ = 33.70°, intensity 44
- 2θ = 42.11°, intensity 42
- 2θ = 45.42°, intensity 36
- 2θ = 51.95°, intensity 32
- 2θ = 35.44°, intensity 32

# 7
# LiEr2Ni9
Simulated X-ray powder pattern, a wavelength of 1.5418 Å. Input: a crystal structure in Alexandria, relaxed with GGA-PBE.
Lines closer than 0.1° are merged.

Structural model:
Cell: 8.442 8.442 8.442 Å, 33.83 33.83 33.83°
Element x y z (fractional)
Li: 0.000 0.000 0.000
Er: 0.135 0.135 0.135
Er: 0.865 0.865 0.865
Ni: 0.080 0.583 0.583
Ni: 0.333 0.333 0.333
Ni: 0.417 0.417 0.920
Ni: 0.417 0.920 0.417
Ni: 0.500 0.500 0.500
Ni: 0.583 0.080 0.583
Ni: 0.583 0.583 0.080
Ni: 0.667 0.667 0.667
Ni: 0.920 0.417 0.417

Principal peaks in the range 15 to 90 degrees two-theta, in order of falling intensity:
- 2θ = 43.29°, intensity 100
- 2θ = 46.76°, intensity 66
- 2θ = 36.58°, intensity 59
- 2θ = 25.72°, intensity 57
- 2θ = 47.03°, intensity 57
- 2θ = 45.26°, intensity 50
- 2θ = 36.81°, intensity 49
- 2θ = 42.67°, intensity 45
- 2θ = 33.70°, intensity 42
- 2θ = 70.52°, intensity 36

# 8
# MgMo2Au
Simulated X-ray powder pattern, a wavelength of 1.5418 Å. Input: a crystal structure in Alexandria, relaxed with GGA-PBE.
Lines closer than 0.1° are merged.

Structural model:
Cell: 5.311 5.311 2.727 Å, 90.00 90.00 120.15°
Element x y z (fractional)
Mg: 0.000 0.000 0.000
Mo: 0.000 0.500 0.500
Mo: 0.500 0.000 0.500
Au: 0.500 0.500 0.000

Principal peaks in the range 15 to 90 degrees two-theta, in order of falling intensity:
- 2θ = 39.20°, intensity 100
- 2θ = 38.37°, intensity 95
- 2θ = 19.33°, intensity 65
- 2θ = 47.85°, intensity 50
- 2θ = 63.48°, intensity 37
- 2θ = 82.21°, intensity 24
- 2θ = 33.75°, intensity 17
- 2θ = 83.87°, intensity 15
- 2θ = 70.41°, intensity 12
- 2θ = 70.99°, intensity 11

# 9
# Ca3Tl4Sn
Simulated X-ray powder pattern, a wavelength of 1.5418 Å. Input: a crystal structure in Alexandria, relaxed with GGA-PBE.
Lines closer than 0.1° are merged.

Structural model:
Cell: 4.691 9.742 10.321 Å, 90.00 90.00 90.00°
Element x y z (fractional)
Ca: 0.250 0.005 0.134
Ca: 0.250 0.495 0.134
Ca: 0.250 0.750 0.393
Ca: 0.750 0.250 0.607
Ca: 0.750 0.505 0.866
Ca: 0.750 0.995 0.866
Tl: 0.250 0.002 0.622
Tl: 0.250 0.250 0.363
Tl: 0.250 0.498 0.622
Tl: 0.250 0.750 0.904
Tl: 0.750 0.250 0.096
Tl: 0.750 0.502 0.378
Tl: 0.750 0.750 0.637
Tl: 0.750 0.998 0.378
Sn: 0.250 0.250 0.865
Sn: 0.750 0.750 0.135

Principal peaks in the range 15 to 90 degrees two-theta, in order of falling intensity:
- 2θ = 31.65°, intensity 100
- 2θ = 34.76°, intensity 20
- 2θ = 36.91°, intensity 17
- 2θ = 38.38°, intensity 15
- 2θ = 63.23°, intensity 14
- 2θ = 20.16°, intensity 13
- 2θ = 60.39°, intensity 13
- 2θ = 65.22°, intensity 13
- 2θ = 51.60°, intensity 12
- 2θ = 54.30°, intensity 11

# 10
# PmTmTh
Simulated X-ray powder pattern, a wavelength of 1.5418 Å. Input: a crystal structure in Alexandria, relaxed with GGA-PBE.
Lines closer than 0.1° are merged.

Structural model:
Cell: 7.936 7.936 7.936 Å, 153.84 153.84 37.33°
Element x y z (fractional)
Pm: 0.000 0.000 0.000
Tm: 0.679 0.679 0.000
Th: 0.336 0.336 0.000

Principal peaks in the range 15 to 90 degrees two-theta, in order of falling intensity:
- 2θ = 30.62°, intensity 100
- 2θ = 35.34°, intensity 35
- 2θ = 60.52°, intensity 29
- 2θ = 51.21°, intensity 24
- 2θ = 35.83°, intensity 16
- 2θ = 61.18°, intensity 13
- 2θ = 50.84°, intensity 12
- 2θ = 63.75°, intensity 12
- 2θ = 83.48°, intensity 11
- 2θ = 82.90°, intensity 6

# 11
# Sm2Ho9Er
Simulated X-ray powder pattern, a wavelength of 1.5418 Å. Input: a crystal structure in Alexandria, relaxed with GGA-PBE.
Lines closer than 0.1° are merged.

Structural model:
Cell: 11.187 11.187 3.482 Å, 90.00 90.00 120.00°
Element x y z (fractional)
Sm: 0.333 0.667 0.000
Sm: 0.667 0.333 0.000
Ho: 0.000 0.500 0.000
Ho: 0.174 0.348 0.500
Ho: 0.174 0.826 0.500
Ho: 0.348 0.174 0.500
Ho: 0.500 0.000 0.000
Ho: 0.500 0.500 0.000
Ho: 0.652 0.826 0.500
Ho: 0.826 0.174 0.500
Ho: 0.826 0.652 0.500
Er: 0.000 0.000 0.000

Principal peaks in the range 15 to 90 degrees two-theta, in order of falling intensity:
- 2θ = 32.00°, intensity 100
- 2θ = 31.65°, intensity 55
- 2θ = 62.88°, intensity 29
- 2θ = 30.24°, intensity 25
- 2θ = 56.81°, intensity 20
- 2θ = 45.63°, intensity 20
- 2θ = 57.04°, intensity 18
- 2θ = 35.58°, intensity 14
- 2θ = 81.26°, intensity 14
- 2θ = 38.00°, intensity 14

# 12
# PaCo5Sn2B
Simulated X-ray powder pattern, a wavelength of 1.5418 Å. Input: a crystal structure in Alexandria, relaxed with GGA-PBE.
Lines closer than 0.1° are merged.

Structural model:
Cell: 7.112 7.112 7.112 Å, 148.00 135.80 55.60°
Element x y z (fractional)
Pa: 0.000 0.000 0.000
Co: 0.135 0.392 0.742
Co: 0.350 0.608 0.742
Co: 0.500 0.000 0.500
Co: 0.650 0.392 0.258
Co: 0.865 0.608 0.258
Sn: 0.287 0.787 0.500
Sn: 0.713 0.213 0.500
B: 0.500 0.500 0.000

Principal peaks in the range 15 to 90 degrees two-theta, in order of falling intensity:
- 2θ = 31.66°, intensity 100
- 2θ = 41.48°, intensity 90
- 2θ = 42.69°, intensity 82
- 2θ = 44.45°, intensity 58
- 2θ = 27.01°, intensity 46
- 2θ = 46.31°, intensity 36
- 2θ = 66.13°, intensity 35
- 2θ = 81.46°, intensity 24
- 2θ = 58.72°, intensity 23
- 2θ = 85.93°, intensity 22